For Sr3NbCoO7, DFT lattice parameters and positions (PBE+U) gives the theoretical powder diffractogram in this record (λ = 1.5418 Å (Cu Kα)).
No peak broadening, texture or thermal motion is included.

Top 10 peaks for 10° ≤ 2θ ≤ 90°, low angle first:
index	2theta	intensity
1 1 10	30.6	100
2 0 0	31.8	62
0 0 20	42.0	15
1 1 18	44.2	10
2 2 0	45.6	38
2 0 20	53.6	16
3 1 10	56.0	37
2 2 20	63.7	16
4 0 0	66.5	11
4 2 0	75.7	10

Crystal structure
a = 5.6216 Å, b = 5.6216 Å, c = 43.0382 Å
α = 90.00°, β = 90.00°, γ = 90.00°
Space group I4_1cd (No. 110)
Symmetry-distinct sites (fractional):
Sr: 0.0000 0.0000 0.0000 [8 per cell]
Sr: 0.0000 0.0000 0.0827 [8 per cell]
Sr: 0.0000 0.0000 0.3951 [8 per cell]
Nb: 0.0000 0.0000 0.1915 [8 per cell]
Co: 0.0000 0.0000 0.2940 [8 per cell]
O: 0.0000 0.0000 0.1425 [8 per cell]
O: 0.0000 0.0000 0.2362 [8 per cell]
O: 0.0000 0.0000 0.3402 [8 per cell]
O: 0.2345 0.2344 0.2890 [16 per cell]
O: 0.2498 0.2504 0.1888 [16 per cell]